Theoretical powder diffraction line list
Compound: Li6MnFe5B6O18
Radiation: Cu Kα (λ = 1.5418 Å)
Structure: a cell relaxed with GGA+U

Most intense lines, 10° ≤ 2θ ≤ 80°, in order of rising 2θ:
two_theta  I (rel.)  index
21.64  100  2 0 1
31.03  15  0 2 1
33.33  18  6 0 -2
35.91  79  2 2 -2
37.95  30  6 0 -3
48.02  26  0 2 3
53.24  22  4 2 -4
54.88  14  2 2 3
58.57  11  0 4 0
63.19  9  2 4 1

Structural model:
```
data_Li6MnFe5B6O18
_cell_length_a 16.4110
_cell_length_b 6.3045
_cell_length_c 8.2084
_cell_angle_alpha 90.00
_cell_angle_beta 119.86
_cell_angle_gamma 90.00
_symmetry_space_group_name_H-M 'C 1 m 1'
_symmetry_Int_Tables_number 8
loop_
_symmetry_equiv_pos_as_xyz
'x,y,z'
'x,-y,z'
'x+1/2,y+1/2,z'
'x+1/2,-y+1/2,z'
loop_
_atom_site_label
_atom_site_type_symbol
_atom_site_fract_x
_atom_site_fract_y
_atom_site_fract_z
Li1 Li 0.0000 0.2452 0.0000
Li2 Li 0.1572 0.2452 0.5769
Li3 Li 0.3677 0.2522 0.3136
Mn1 Mn 0.0147 0.5000 0.6750
Fe1 Fe 0.0120 0.0000 0.6650
Fe2 Fe 0.1883 0.5000 0.2909
Fe3 Fe 0.1935 0.0000 0.2837
Fe4 Fe 0.3162 0.5000 0.9277
Fe5 Fe 0.3250 0.0000 0.9375
B1 B 0.0075 0.5000 0.2972
B2 B 0.0082 0.0000 0.2943
B3 B 0.1758 0.2492 0.9657
B4 B 0.3413 0.2516 0.6312
O1 O 0.1051 0.5000 0.4081
O2 O 0.1057 0.0000 0.4025
O3 O 0.1188 0.2492 0.7710
O4 O 0.1355 0.2495 0.0803
O5 O 0.2732 0.2500 0.0454
O6 O 0.2881 0.2519 0.4363
O7 O 0.2970 0.2487 0.7379
O8 O 0.4386 0.2530 0.7191
O9 O 0.4518 0.0000 0.3803
O10 O 0.4546 0.5000 0.3842
O11 O 0.4632 0.5000 0.0997
O12 O 0.4664 0.0000 0.1021
```